# CuGe2Au6
Calculated powder diffraction line list, Cu Kα (λ = 1.5418 Å). Input: DFT lattice parameters and positions (GGA-PBE).
Intensities are scaled so that the largest is 100.

Cell and atoms:
a = 7.141 Å, b = 5.928 Å, c = 9.655 Å
α = 90.00°, β = 126.28°, γ = 90.00°
Space group P2_1/c (No. 14)
Unique sites:
Cu 0.000 0.000 0.000 x2
Ge 0.270 0.203 0.730 x4
Au 0.039 0.664 0.223 x4
Au 0.285 0.651 0.062 x4
Au 0.442 0.188 0.064 x4

Peak list (8 most intense, 2θ from 10° to 80°, sorted by position)
h k l  Position (°2θ)  intensity
0 2 0  30.15  41
0 2 1  32.32  42
1 0 2  34.63  85
1 2 1  38.94  41
2 2 -1  40.15  36
2 1 -4  40.54  82
3 1 -2  41.13  100
1 2 -3  41.72  52



# Cu8GeAu2
Calculated powder diffraction line list, Cu Kα (λ = 1.5418 Å). Input: DFT lattice parameters and positions (GGA-PBE).
Intensities are scaled so that the largest is 100.

Cell and atoms:
a = 6.859 Å, b = 12.981 Å, c = 4.533 Å
α = 90.00°, β = 129.39°, γ = 90.00°
Space group C2/m (No. 12)
Unique sites:
Cu 0.000 0.191 0.000 x4
Cu 0.056 0.500 0.800 x4
Cu 0.235 0.132 0.717 x8
Ge 0.000 0.000 0.000 x2
Au 0.000 0.313 0.500 x4

Peak list (8 most intense, 2θ from 10° to 80°, sorted by position)
h k l  Position (°2θ)  intensity
0 2 0  13.64  45
0 2 1  28.96  40
2 0 -2  39.79  54
1 5 -1  40.03  100
3 1 -1  40.61  57
0 6 0  41.75  38
1 3 1  44.27  74
3 3 -1  45.36  40



# CuGeAu14
Calculated powder diffraction line list, Cu Kα (λ = 1.5418 Å). Input: DFT lattice parameters and positions (GGA-PBE).
Intensities are scaled so that the largest is 100.

Cell and atoms:
a = 9.589 Å, b = 6.239 Å, c = 9.575 Å
α = 90.00°, β = 90.00°, γ = 90.00°
Space group Amm2 (No. 38)
Unique sites:
Cu 0.000 0.000 0.000 x2
Ge 0.000 0.000 0.506 x2
Au 0.000 0.245 0.254 x4
Au 0.239 0.249 0.064 x8
Au 0.244 0.000 0.818 x4
Au 0.253 0.000 0.315 x4
Au 0.500 0.000 0.135 x2
Au 0.500 0.000 0.636 x2
Au 0.500 0.248 0.887 x4

Peak list (8 most intense, 2θ from 10° to 80°, sorted by position)
h k l  Position (°2θ)  intensity
1 2 2  35.60  22
4 0 0  37.53  48
1 0 4  38.77  15
2 2 2  39.26  100
2 0 4  42.19  21
6 2 2  68.86  19
4 4 0  72.27  15
4 2 6  78.21  16



# Cu5GeAu6
Calculated powder diffraction line list, Cu Kα (λ = 1.5418 Å). Input: DFT lattice parameters and positions (GGA-PBE).
Intensities are scaled so that the largest is 100.

Cell and atoms:
a = 4.263 Å, b = 6.855 Å, c = 6.681 Å
α = 90.00°, β = 106.85°, γ = 90.00°
Space group P2/m (No. 10)
Unique sites:
Cu 0.000 0.000 0.000 x1
Cu 0.326 0.500 0.659 x2
Cu 0.331 0.000 0.668 x2
Ge 0.000 0.500 0.000 x1
Au 0.172 0.245 0.337 x4
Au 0.500 0.244 0.000 x2

Peak list (8 most intense, 2θ from 10° to 80°, sorted by position)
h k l  Position (°2θ)  intensity
0 2 0  26.00  33
1 0 1  29.18  25
1 2 1  39.47  100
1 2 -2  40.19  95
2 0 -1  42.42  82
2 4 -1  70.52  40
3 2 0  75.15  30
3 2 -3  76.56  29



# In2Cu7Ge2Au
Calculated powder diffraction line list, Cu Kα (λ = 1.5418 Å). Input: DFT lattice parameters and positions (GGA-PBE).
Intensities are scaled so that the largest is 100.

Cell and atoms:
a = 5.096 Å, b = 5.095 Å, c = 15.270 Å
α = 90.00°, β = 99.08°, γ = 90.00°
Space group C2/m (No. 12)
Unique sites:
In 0.130 0.000 0.273 x4
Cu 0.000 0.000 0.000 x2
Cu 0.186 0.250 0.866 x8
Cu 0.223 0.000 0.453 x4
Ge 0.187 0.500 0.386 x4
Au 0.000 0.500 0.000 x2

Peak list (8 most intense, 2θ from 10° to 80°, sorted by position)
h k l  Position (°2θ)  intensity
0 0 2  11.74  36
0 2 0  35.23  67
0 2 3  39.67  63
1 1 5  41.25  62
1 1 -6  41.52  59
0 0 7  41.94  42
0 2 4  42.85  60
2 2 -1  50.67  100



# Pr2CuGe4Au3
Calculated powder diffraction line list, Cu Kα (λ = 1.5418 Å). Input: DFT lattice parameters and positions (GGA-PBE).
Intensities are scaled so that the largest is 100.

Cell and atoms:
a = 4.375 Å, b = 4.375 Å, c = 10.798 Å
α = 90.00°, β = 90.00°, γ = 90.00°
Space group P-4m2 (No. 115)
Unique sites:
Pr 0.000 0.500 0.236 x2
Cu 0.500 0.500 0.000 x1
Ge 0.000 0.000 0.500 x1
Ge 0.000 0.500 0.873 x2
Ge 0.500 0.500 0.500 x1
Au 0.000 0.000 0.000 x1
Au 0.000 0.500 0.640 x2

Peak list (8 most intense, 2θ from 10° to 80°, sorted by position)
h k l  Position (°2θ)  intensity
1 0 2  26.22  30
1 0 3  32.20  63
1 1 2  33.38  100
2 0 0  41.27  73
1 1 4  44.55  34
1 0 5  46.92  37
2 1 3  53.29  31
2 1 5  64.24  29



# CuGeAu2Se4
Calculated powder diffraction line list, Cu Kα (λ = 1.5418 Å). Input: DFT lattice parameters and positions (GGA-PBE).
Intensities are scaled so that the largest is 100.

Cell and atoms:
a = 8.306 Å, b = 11.424 Å, c = 5.873 Å
α = 90.00°, β = 135.00°, γ = 90.00°
Space group C2 (No. 5)
Unique sites:
Cu 0.000 0.000 0.000 x2
Ge 0.000 0.750 0.500 x2
Au 0.000 0.250 0.500 x2
Au 0.000 0.499 0.000 x2
Se 0.225 0.877 0.473 x4
Se 0.247 0.123 0.021 x4

Peak list (8 most intense, 2θ from 10° to 80°, sorted by position)
h k l  Position (°2θ)  intensity
1 1 0  16.98  16
0 2 1  26.54  100
3 1 -1  35.06  11
0 0 2  43.59  24
2 4 0  44.24  47
2 2 -3  51.76  31
0 6 1  52.90  15
4 6 -3  70.88  12



# Zn2Cu7Ge2Au
Calculated powder diffraction line list, Cu Kα (λ = 1.5418 Å). Input: DFT lattice parameters and positions (GGA-PBE).
Intensities are scaled so that the largest is 100.

Cell and atoms:
a = 5.333 Å, b = 5.655 Å, c = 11.385 Å
α = 90.00°, β = 90.51°, γ = 90.00°
Space group C2/m (No. 12)
Unique sites:
Zn 0.000 0.000 0.185 x4
Cu 0.000 0.000 0.500 x2
Cu 0.247 0.500 0.000 x4
Cu 0.249 0.250 0.338 x8
Ge 0.001 0.500 0.187 x4
Au 0.000 0.500 0.500 x2

Peak list (8 most intense, 2θ from 10° to 80°, sorted by position)
h k l  Position (°2θ)  intensity
0 2 0  31.64  36
0 2 2  35.45  32
0 2 3  39.75  100
2 0 -3  41.20  89
2 0 3  41.57  87
0 2 4  45.20  47
2 2 0  46.84  71
0 0 6  47.94  50